[1]
Diffraction record for NdTlSnSe3. The powder X-ray diffraction pattern is simulated, not measured: it uses DFT lattice parameters and positions (PBE) and copper Kα.
Lines closer than 0.1° are merged.

The 10 most intense peaks (2θ = 10–90°), in order of falling intensity:
2theta	I (rel.)
26.24	100
40.89	61
30.79	48
18.58	38
37.43	27
53.20	21
42.27	20
22.54	20
70.54	12
46.52	12

Structure:
Cell: 8.6546 8.6546 11.6158 Å, 90.00 90.00 151.40°
Fractional positions:
Nd  0.0000  0.0000  0.0000
Nd  0.0000  0.0000  0.5000
Tl  0.3025  0.6975  0.7500
Tl  0.6975  0.3025  0.2500
Sn  0.3686  0.6314  0.2500
Sn  0.6314  0.3686  0.7500
Se  0.0242  0.9758  0.7500
Se  0.3780  0.6220  0.5076
Se  0.3780  0.6220  0.9924
Se  0.6220  0.3780  0.0076
Se  0.6220  0.3780  0.4924
Se  0.9758  0.0242  0.2500


[2]
Diffraction record for TcIr5. The powder X-ray diffraction pattern is simulated, not measured: it uses DFT lattice parameters and positions (PBE) and copper Kα.
Lines closer than 0.1° are merged.

The 10 most intense peaks (2θ = 10–90°), in order of falling intensity:
2theta	I (rel.)
40.36	100
47.03	32
82.80	26
68.50	21
46.78	16
82.44	13
87.24	11
68.70	11
33.69	1
15.21	1

Structure:
Cell: 2.7327 2.7327 11.6517 Å, 90.00 90.00 90.00°
Fractional positions:
Tc  0.0000  0.0000  0.0000
Ir  0.0000  0.0000  0.3354
Ir  0.0000  0.0000  0.6646
Ir  0.5000  0.5000  0.1640
Ir  0.5000  0.5000  0.5000
Ir  0.5000  0.5000  0.8360


[3]
Diffraction record for Cu7Si. The powder X-ray diffraction pattern is simulated, not measured: it uses DFT lattice parameters and positions (PBE) and copper Kα.
Lines closer than 0.1° are merged.

The 10 most intense peaks (2θ = 10–90°), in order of falling intensity:
2theta	I (rel.)
43.15	100
50.25	47
89.52	32
73.81	27
21.19	4
41.23	2
24.52	2
34.94	2
55.12	1
56.68	1

Structure:
Cell: 5.1352 5.1352 5.1352 Å, 60.00 60.00 60.00°
Fractional positions:
Cu  0.0000  0.0000  0.0000
Cu  0.0000  0.0000  0.5000
Cu  0.0000  0.5000  0.0000
Cu  0.0000  0.5000  0.5000
Cu  0.5000  0.0000  0.0000
Cu  0.5000  0.0000  0.5000
Cu  0.5000  0.5000  0.0000
Si  0.5000  0.5000  0.5000


[4]
Diffraction record for CeEr3Se4. The powder X-ray diffraction pattern is simulated, not measured: it uses DFT lattice parameters and positions (PBE) and copper Kα.
Lines closer than 0.1° are merged.

The 10 most intense peaks (2θ = 10–90°), in order of falling intensity:
2theta	I (rel.)
31.01	100
44.25	37
44.55	24
26.84	16
55.36	13
44.67	12
64.63	12
73.12	11
73.60	11
54.71	7

Structure:
Cell: 7.1093 8.1136 7.0511 Å, 90.00 109.27 90.00°
Fractional positions:
Ce  0.0000  0.1222  0.2500
Ce  0.0000  0.8778  0.7500
Er  0.0000  0.3703  0.7500
Er  0.0000  0.6297  0.2500
Er  0.5000  0.1235  0.7500
Er  0.5000  0.3736  0.2500
Er  0.5000  0.6264  0.7500
Er  0.5000  0.8765  0.2500
Se  0.2535  0.3807  0.5045
Se  0.2535  0.6193  0.0045
Se  0.2611  0.1302  0.0004
Se  0.2611  0.8698  0.5004
Se  0.7389  0.1302  0.4996
Se  0.7389  0.8698  0.9996
Se  0.7465  0.3807  0.9955
Se  0.7465  0.6193  0.4955


[5]
Diffraction record for Y3Zn2Au. The powder X-ray diffraction pattern is simulated, not measured: it uses DFT lattice parameters and positions (PBE) and copper Kα.
Lines closer than 0.1° are merged.

The 10 most intense peaks (2θ = 10–90°), in order of falling intensity:
2theta	I (rel.)
35.46	100
35.25	51
63.40	36
50.71	18
63.81	17
75.05	11
26.12	9
51.34	8
29.93	8
85.24	8

Structure:
Cell: 3.6004 3.6004 10.6779 Å, 90.00 90.00 90.00°
Fractional positions:
Y  0.0000  0.0000  0.0000
Y  0.0000  0.0000  0.3315
Y  0.0000  0.0000  0.6685
Zn  0.5000  0.5000  0.1611
Zn  0.5000  0.5000  0.8389
Au  0.5000  0.5000  0.5000


[6]
Diffraction record for Ac4Dy. The powder X-ray diffraction pattern is simulated, not measured: it uses DFT lattice parameters and positions (PBE) and copper Kα.
Lines closer than 0.1° are merged.

The 10 most intense peaks (2θ = 10–90°), in order of falling intensity:
2theta	I (rel.)
29.42	100
27.51	60
49.84	42
39.29	20
53.33	20
61.05	12
78.89	10
86.25	9
44.75	8
81.66	8

Structure:
Cell: 10.2540 10.2540 4.0505 Å, 90.00 90.00 90.00°
Fractional positions:
Ac  0.0861  0.2811  0.0000
Ac  0.2189  0.5861  0.5000
Ac  0.2811  0.9139  0.0000
Ac  0.4139  0.2189  0.5000
Ac  0.5861  0.7811  0.5000
Ac  0.7189  0.0861  0.0000
Ac  0.7811  0.4139  0.5000
Ac  0.9139  0.7189  0.0000
Dy  0.0000  0.0000  0.5000
Dy  0.5000  0.5000  0.0000


[7]
Diffraction record for MgTiH6O2F6. The powder X-ray diffraction pattern is simulated, not measured: it uses DFT lattice parameters and positions (PBE) and copper Kα.
Lines closer than 0.1° are merged.

The 10 most intense peaks (2θ = 10–90°), in order of falling intensity:
2theta	I (rel.)
22.73	100
30.72	48
17.59	40
42.61	33
38.56	32
46.43	27
54.45	27
14.29	23
28.80	23
33.97	23

Structure:
Cell: 5.8213 5.8213 6.1994 Å, 90.00 90.00 120.00°
Fractional positions:
Mg  0.0000  0.0000  0.0000
Ti  0.6667  0.3333  0.6499
H  0.1557  0.6507  0.9114
H  0.1923  0.1756  0.3860
H  0.3493  0.5050  0.9114
H  0.4950  0.8443  0.9114
H  0.8244  0.0167  0.3860
H  0.9833  0.8077  0.3860
O  0.0000  0.0000  0.3206
O  0.3333  0.6667  0.9543
F  0.3407  0.2464  0.8878
F  0.4000  0.3663  0.4488
F  0.6337  0.0336  0.4488
F  0.7536  0.0943  0.8878
F  0.9057  0.6593  0.8878
F  0.9664  0.6000  0.4488


[8]
Diffraction record for Pm4DyTh3. The powder X-ray diffraction pattern is simulated, not measured: it uses DFT lattice parameters and positions (PBE) and copper Kα.
Lines closer than 0.1° are merged.

The 10 most intense peaks (2θ = 10–90°), in order of falling intensity:
2theta	I (rel.)
30.34	100
35.28	34
60.28	29
50.51	24
34.95	17
59.84	14
63.11	12
50.76	12
82.24	12
82.63	6

Structure:
Cell: 5.0835 10.1831 10.2704 Å, 90.00 90.00 90.00°
Fractional positions:
Pm  0.2500  0.0008  0.1327
Pm  0.2500  0.2500  0.8704
Pm  0.2500  0.4992  0.1327
Pm  0.2500  0.7500  0.8640
Pm  0.7500  0.2500  0.1360
Pm  0.7500  0.5008  0.8673
Pm  0.7500  0.7500  0.1296
Pm  0.7500  0.9992  0.8673
Dy  0.2500  0.7500  0.3812
Dy  0.7500  0.2500  0.6188
Th  0.2500  0.2500  0.3799
Th  0.2500  0.5022  0.6191
Th  0.2500  0.9978  0.6191
Th  0.7500  0.0022  0.3809
Th  0.7500  0.4978  0.3809
Th  0.7500  0.7500  0.6201